Computed XRD peak list of Li4FeCo3P4O16 for Cu Kα X-rays, from DFT lattice parameters and positions (PBE+U).

Atomic structure:
```
data_Li4FeCo3P4O16
_cell_length_a 4.7563
_cell_length_b 6.0147
_cell_length_c 10.3150
_cell_angle_alpha 90.00
_cell_angle_beta 90.14
_cell_angle_gamma 90.00
_symmetry_space_group_name_H-M 'P 1 m 1'
_symmetry_Int_Tables_number 6
_symmetry_space_group_name_Hall 'P -2y'
loop_
_atom_site_label
_atom_site_fract_x
_atom_site_fract_y
_atom_site_fract_z
_atom_site_occupancy
Li1 0.0000 0.2487 0.0000 1
Li2 0.5022 0.2504 0.5041 1
Fe1 0.0249 0.0000 0.2825 1
Co1 0.4875 0.0000 0.7815 1
Co2 0.5189 0.5000 0.2210 1
Co3 0.9809 0.5000 0.7247 1
P1 0.0824 0.5000 0.4090 1
P2 0.4140 0.5000 0.9088 1
P3 0.5817 0.0000 0.0959 1
P4 0.9195 0.0000 0.6010 1
O1 0.2029 0.5000 0.5491 1
O2 0.2204 0.2960 0.3380 1
O3 0.2432 0.0000 0.6043 1
O4 0.2592 0.0000 0.0984 1
O5 0.2745 0.2949 0.8392 1
O6 0.2947 0.5000 0.0494 1
O7 0.7051 0.0000 0.9558 1
O8 0.7177 0.2054 0.1670 1
O9 0.7365 0.5000 0.9043 1
O10 0.7597 0.5000 0.4039 1
O11 0.7824 0.2053 0.6717 1
O12 0.7977 0.0000 0.4611 1
```

Main lines, by intensity (10 to 90 degrees two-theta):
2θ (°)  I/Imax  (hkl)
35.50  100  1 1 -3
25.39  89  1 1 -1
29.71  63  0 2 0
20.56  55  1 0 1
52.14  37  2 2 -2
17.19  36  0 0 2
36.40  28  1 2 1
32.13  25  1 0 3
56.55  24  1 3 -3
37.96  18  0 1 4
55.60  18  0 1 6
22.71  16  0 1 2